No. 1
Starting from a structure optimized by DFT (GGA-PBE), the powder X-ray diffraction pattern of Al4CrFe7 was calculated for Cu Kα (λ = 1.5418 Å).
Peak positions follow from Bragg's law for the DFT cell and can differ from measured ones.

```
Al4CrFe7
1.0
4.0658 0.0000 0.0000
-2.0329 3.5211 0.0000
0.0000 0.0000 10.1565
Al Cr Fe
4 1 7
direct
0.3333 0.6667 0.1621
0.3333 0.6667 0.4218
0.6667 0.3333 0.5782
0.6667 0.3333 0.8379
0.0000 0.0000 0.0000
0.0000 0.0000 0.2588
0.0000 0.0000 0.5000
0.0000 0.0000 0.7412
0.3333 0.6667 0.6819
0.3333 0.6667 0.9213
0.6667 0.3333 0.0787
0.6667 0.3333 0.3181
```

Top 8 peaks for 10° ≤ 2θ ≤ 90°, in order of rising 2θ:
| 2θ (°) | I/Imax | index |
| --- | --- | --- |
| 25.29 | 5.0 | 1 0 0 |
| 26.80 | 17.8 | 0 1 1 |
| 43.97 | 96.9 | 1 0 4 |
| 44.57 | 100.0 | 1 1 0 |
| 64.40 | 28.4 | 0 2 4 |
| 80.41 | 13.6 | 0 1 8 |
| 81.69 | 27.5 | 2 1 4 |
| 82.12 | 14.2 | 3 0 0 |

***

No. 2
Starting from a structure optimized by DFT (GGA-PBE), the powder X-ray diffraction pattern of Al2CrFe2 was calculated for Cu Kα (λ = 1.5418 Å).
Peak positions follow from Bragg's law for the DFT cell and can differ from measured ones.

```
Al2CrFe2
1.0
5.7620 0.0000 0.0000
0.0000 5.7620 0.0000
0.0000 0.0000 3.8674
Al Cr Fe
4 2 4
direct
0.1745 0.3255 0.0000
0.3255 0.8255 0.0000
0.6745 0.1745 0.0000
0.8255 0.6745 0.0000
0.0000 0.0000 0.5000
0.5000 0.5000 0.5000
0.1332 0.6332 0.5000
0.3668 0.1332 0.5000
0.6332 0.8668 0.5000
0.8668 0.3668 0.5000
```

Top 8 peaks for 10° ≤ 2θ ≤ 90°, in order of rising 2θ:
| 2θ (°) | I/Imax | index |
| --- | --- | --- |
| 23.00 | 56.9 | 0 0 1 |
| 34.82 | 12.8 | 2 1 0 |
| 38.98 | 21.0 | 2 0 1 |
| 42.14 | 100.0 | 2 1 1 |
| 46.99 | 28.4 | 0 0 2 |
| 50.06 | 36.5 | 3 1 0 |
| 55.77 | 21.4 | 3 1 1 |
| 71.09 | 23.3 | 3 1 2 |